No. 1
# Be5Pd3
Calculated XRD peak list, λ = 1.5418 Å (Cu Kα). Input: a structure optimized by DFT (PBE).
Neutral-atom scattering factors, no anomalous dispersion.

Structure:
Lattice parameters (Å, degrees): 6.0984 6.0984 2.7399 90.00 90.00 120.00
Space group P-62m (No. 189)
Symmetry-distinct sites (fractional):
Be (0.0000, 0.7537, 0.0000) (multiplicity 3)
Be (0.3333, 0.6667, 0.0000) (multiplicity 2)
Pd (0.0000, 0.3792, 0.5000) (multiplicity 3)

The 12 most intense peaks (2θ from 15° to 90°), by angle:
2θ = 16.8°, rel. 11, hkl 1 0 0; 2θ = 29.3°, rel. 100, hkl 1 1 0; 2θ = 32.7°, rel. 27, hkl 0 0 1; 2θ = 44.5°, rel. 75, hkl 1 1 1; 2θ = 45.4°, rel. 12, hkl 2 1 0; 2θ = 47.8°, rel. 11, hkl 2 0 1; 2θ = 51.9°, rel. 17, hkl 3 0 0; 2θ = 62.7°, rel. 15, hkl 3 0 1; 2θ = 63.5°, rel. 11, hkl 3 1 0; 2θ = 70.7°, rel. 10, hkl 2 2 1; 2θ = 73.3°, rel. 14, hkl 3 1 1; 2θ = 76.2°, rel. 12, hkl 1 1 2

***

No. 2
# Be5Pd
Calculated XRD peak list, λ = 1.5418 Å (Cu Kα). Input: a structure optimized by DFT (PBE).
Neutral-atom scattering factors, no anomalous dispersion.

Structure:
Lattice parameters (Å, degrees): 5.9924 5.9924 5.9924 90.00 90.00 90.00
Space group F-43m (No. 216)
Symmetry-distinct sites (fractional):
Be (0.0000, 0.0000, 0.0000) (multiplicity 4)
Be (0.1254, 0.1254, 0.3746) (multiplicity 16)
Pd (0.2500, 0.2500, 0.7500) (multiplicity 4)

The 10 most intense peaks (2θ from 15° to 90°), by angle:
2θ = 25.8°, rel. 100, hkl 1 1 1; 2θ = 29.8°, rel. 55, hkl 2 0 0; 2θ = 42.7°, rel. 51, hkl 2 2 0; 2θ = 50.5°, rel. 65, hkl 3 1 1; 2θ = 52.9°, rel. 15, hkl 2 2 2; 2θ = 61.9°, rel. 5, hkl 4 0 0; 2θ = 68.2°, rel. 19, hkl 3 3 1; 2θ = 70.2°, rel. 18, hkl 4 2 0; 2θ = 78.1°, rel. 17, hkl 4 2 2; 2θ = 83.9°, rel. 20, hkl 5 1 1

***

No. 3
# Pm2Be6Pd9
Calculated XRD peak list, λ = 1.5418 Å (Cu Kα). Input: a structure optimized by DFT (PBE).
Neutral-atom scattering factors, no anomalous dispersion.

Structure:
Lattice parameters (Å, degrees): 5.6189 5.6189 9.8601 90.00 90.00 120.00
Space group P6/mmm (No. 191)
Symmetry-distinct sites (fractional):
Pm (0.0000, 0.0000, 0.1980) (multiplicity 2)
Be (0.3333, 0.6667, 0.1669) (multiplicity 4)
Be (0.3333, 0.6667, 0.5000) (multiplicity 2)
Pd (0.0000, 0.5000, 0.0000) (multiplicity 3)
Pd (0.0000, 0.5000, 0.3372) (multiplicity 6)

The 12 most intense peaks (2θ from 15° to 90°), by angle:
2θ = 25.7°, rel. 19, hkl 1 0 2; 2θ = 27.1°, rel. 23, hkl 0 0 3; 2θ = 32.9°, rel. 53, hkl 1 0 3; 2θ = 36.9°, rel. 100, hkl 2 0 0; 2θ = 42.3°, rel. 32, hkl 1 1 3; 2θ = 46.4°, rel. 37, hkl 2 0 3; 2θ = 57.4°, rel. 21, hkl 2 1 3; 2θ = 64.0°, rel. 9, hkl 3 0 3; 2θ = 66.6°, rel. 19, hkl 2 2 0; 2θ = 69.0°, rel. 22, hkl 2 0 6; 2θ = 76.3°, rel. 9, hkl 3 1 3; 2θ = 78.6°, rel. 11, hkl 4 0 0

***

No. 4
# Pm2BePd3
Calculated XRD peak list, λ = 1.5418 Å (Cu Kα). Input: a structure optimized by DFT (PBE).
Neutral-atom scattering factors, no anomalous dispersion.

Structure:
Lattice parameters (Å, degrees): 3.8768 4.1468 7.7130 90.00 90.00 90.00
Space group Pmm2 (No. 25)
Symmetry-distinct sites (fractional):
Pm (0.0000, 0.0000, 0.0000) (multiplicity 1)
Pm (0.0000, 0.5000, 0.4933) (multiplicity 1)
Be (0.5000, 0.5000, 0.8248) (multiplicity 1)
Pd (0.5000, 0.0000, 0.3422) (multiplicity 1)
Pd (0.5000, 0.0000, 0.6927) (multiplicity 1)
Pd (0.5000, 0.5000, 0.1163) (multiplicity 1)

The 12 most intense peaks (2θ from 15° to 90°), by angle:
2θ = 31.7°, rel. 11, hkl 0 1 2; 2θ = 32.8°, rel. 41, hkl 1 0 2; 2θ = 33.7°, rel. 100, hkl 1 1 1; 2θ = 39.5°, rel. 11, hkl 1 1 2; 2θ = 41.3°, rel. 39, hkl 0 1 3; 2θ = 43.7°, rel. 21, hkl 0 2 0; 2θ = 46.9°, rel. 17, hkl 2 0 0; 2θ = 53.0°, rel. 13, hkl 1 0 4; 2θ = 55.6°, rel. 18, hkl 1 2 2; 2θ = 64.2°, rel. 21, hkl 2 1 3; 2θ = 66.0°, rel. 12, hkl 2 2 0; 2θ = 78.5°, rel. 14, hkl 0 3 3